Diffraction record for Li2CrSbO6. The PXRD pattern is theoretical, not measured: it uses a crystal structure in Alexandria, relaxed with GGA+U and Cu Kα, 1.54184 Å.
Intensities are scaled so that the largest is 100.

Structure:
```
data_Li2CrSbO6
_cell_length_a 5.3788
_cell_length_b 5.3788
_cell_length_c 4.0684
_cell_angle_alpha 90.00
_cell_angle_beta 90.00
_cell_angle_gamma 90.00
_symmetry_space_group_name_H-M 'P 4 m m'
_symmetry_Int_Tables_number 99
loop_
_symmetry_equiv_pos_as_xyz
'x,y,z'
'-y,x,z'
'-x,-y,z'
'y,-x,z'
'-x,y,z'
'y,x,z'
'x,-y,z'
'-y,-x,z'
loop_
_atom_site_label
_atom_site_type_symbol
_atom_site_fract_x
_atom_site_fract_y
_atom_site_fract_z
Li1 Li 0.0000 0.5000 0.0000
Cr1 Cr 0.0000 0.0000 0.6862
Sb1 Sb 0.5000 0.5000 0.7370
O1 O 0.0000 0.0000 0.2944
O2 O 0.2409 0.2409 0.8054
O3 O 0.5000 0.5000 0.2581
```

Largest 12 diffraction maxima, in order of rising 2θ, 10° ≤ 2θ ≤ 80°:
two_theta  I/Imax
16.48  21
21.85  60
23.39  100
27.49  15
32.22  45
33.32  23
47.83  31
50.91  25
53.17  19
53.90  18
58.85  16
72.43  16